Starting from a DFT-relaxed cell (GGA+U, Alexandria), the XRD peak list of Na3Li3Mn2P2C2O14 was computed for Cu Kα, 1.54184 Å.

Atomic structure:
Cell: 5.2156 6.6912 8.7822 Å, 88.96 89.70 89.75°
Space group P1 (No. 1)
Unique sites:
Na: 0.0000 0.0000 0.0000 (multiplicity 1)
Na: 0.0204 0.7452 0.3399 (multiplicity 1)
Na: 0.4792 0.2755 0.1596 (multiplicity 1)
Li: 0.5451 0.9526 0.5432 (multiplicity 1)
Li: 0.5720 0.5056 0.5029 (multiplicity 1)
Li: 0.9454 0.4581 0.9512 (multiplicity 1)
Mn: 0.5232 0.7514 0.9011 (multiplicity 1)
Mn: 0.9796 0.2514 0.5960 (multiplicity 1)
P: 0.0417 0.7488 0.6716 (multiplicity 1)
P: 0.4486 0.2553 0.8229 (multiplicity 1)
C: 0.5103 0.7656 0.2130 (multiplicity 1)
C: 0.9860 0.2858 0.2892 (multiplicity 1)
O: 0.0069 0.2919 0.1418 (multiplicity 1)
O: 0.1492 0.2704 0.8173 (multiplicity 1)
O: 0.1881 0.2563 0.3734 (multiplicity 1)
O: 0.3043 0.7587 0.1295 (multiplicity 1)
O: 0.3406 0.7592 0.6762 (multiplicity 1)
O: 0.4923 0.7586 0.3614 (multiplicity 1)
O: 0.5258 0.0673 0.9181 (multiplicity 1)
O: 0.5525 0.2491 0.6563 (multiplicity 1)
O: 0.5586 0.4348 0.9119 (multiplicity 1)
O: 0.7308 0.7759 0.1451 (multiplicity 1)
O: 0.7641 0.3061 0.3559 (multiplicity 1)
O: 0.9312 0.9364 0.5861 (multiplicity 1)
O: 0.9403 0.7328 0.8381 (multiplicity 1)
O: 0.9492 0.5696 0.5766 (multiplicity 1)

Main lines, low angle first (2θ from 10° to 90°):
2theta, intensity, (hkl)
10.07, 45, 0 0 1
19.81, 55, 1 0 -1
26.64, 100, 0 2 0
33.37, 17, 0 2 2
33.56, 11, 1 2 -1
34.39, 34, 2 0 0
35.24, 11, 1 0 -3
41.12, 13, 0 0 4
42.58, 14, 2 -1 2
54.88, 17, 0 4 0